Theoretical powder diffraction line list of LaHoSb2 for Cu Kα X-rays, from a cell relaxed with PBE.
Neutral-atom scattering factors, no anomalous dispersion.

Atomic structure:
Cell lengths 4.5062, 4.5062, 21.9626 Å; angles 90.00, 90.00, 120.00 degrees
Space group R-3m (No. 166, hexagonal axes)
Unique sites:
La (0.0000, 0.0000, 0.0000)
Ho (0.0000, 0.0000, 0.5000)
Sb (0.0000, 0.0000, 0.2452)

Peak list (6 most intense, 5 to 70 degrees two-theta, in order of falling intensity)
3.181 Å, 2θ = 28.05°, intensity 100, (1 0 4); 2.253 Å, 2θ = 40.02°, intensity 39, (1 1 0); 2.245 Å, 2θ = 40.16°, intensity 37, (0 1 8); 1.839 Å, 2θ = 49.58°, intensity 21, (0 2 4); 1.424 Å, 2θ = 65.53°, intensity 18, (2 1 4); 1.421 Å, 2θ = 65.73°, intensity 17, (1 1 12)